Entry 1:
Simulated X-ray diffraction stick pattern
Compound: Er3Pb4
Radiation: a wavelength of 1.5418 Å
Structure: a GGA-PBE-relaxed structure
Neutral-atom scattering factors, no anomalous dispersion.

Structure:
```
data_Er3Pb4
_symmetry_space_group_name_H-M 'R -3'
_symmetry_Int_Tables_number 148
_symmetry_space_group_name_Hall '-R 3'
_cell_length_a 14.1860
_cell_length_b 14.1860
_cell_length_c 6.9270
_cell_angle_alpha 90.00
_cell_angle_beta 90.00
_cell_angle_gamma 120.00
loop_
_atom_site_label
_atom_site_type_symbol
_atom_site_fract_x
_atom_site_fract_y
_atom_site_fract_z
Er1 Er 0.0485 0.2018 0.2452
Pb1 Pb 0.0000 0.0000 0.0000
Pb2 Pb 0.0000 0.0000 0.5000
Pb3 Pb 0.0421 0.4406 0.3417
```

Principal peaks in the range 2θ from 10° to 90°, low angle first:
two_theta  d_spacing  I/Imax
29.21  3.057  75
31.87  2.808  18
32.24  2.776  100
33.42  2.681  70
34.35  2.611  18
37.01  2.429  39
46.14  1.967  20
47.12  1.929  15
60.36  1.534  21
61.94  1.498  29
65.13  1.432  14
67.47  1.388  16

=====

Entry 2:
Simulated X-ray diffraction stick pattern
Compound: LaCd12Ag6
Radiation: a wavelength of 1.5418 Å
Structure: a GGA-PBE-relaxed structure
Neutral-atom scattering factors, no anomalous dispersion.

Structure:
```
data_LaCd12Ag6
_symmetry_space_group_name_H-M 'R -3 m'
_symmetry_Int_Tables_number 166
_symmetry_space_group_name_Hall '-R 3 2"'
_cell_length_a 12.5704
_cell_length_b 12.5704
_cell_length_c 9.5321
_cell_angle_alpha 90.00
_cell_angle_beta 90.00
_cell_angle_gamma 120.00
loop_
_atom_site_label
_atom_site_type_symbol
_atom_site_fract_x
_atom_site_fract_y
_atom_site_fract_z
La1 La 0.0000 0.0000 0.0000
Cd1 Cd 0.0000 0.3872 0.5000
Cd2 Cd 0.0835 0.1670 0.3016
Ag1 Ag 0.0556 0.5278 0.2387
```

Principal peaks in the range 2θ from 10° to 90°, low angle first:
two_theta  d_spacing  I/Imax
23.55  3.778  23
31.07  2.878  100
31.55  2.836  70
35.19  2.551  16
37.22  2.416  75
37.63  2.390  64
40.79  2.212  48
41.36  2.183  55
43.18  2.095  17
45.82  1.980  61
57.14  1.612  18
72.59  1.302  20